[1]
Computed powder diffraction line list
Compound: Li3Fe2Si2O8
Radiation: Cu Kα (λ = 1.5418 Å)
Structure: a crystal structure in the Materials Project, relaxed with PBE+U
Peak positions follow from Bragg's law for the DFT cell and can differ from measured ones.

Structure:
```
Li3Fe2Si2O8
1.0
5.032 0.000 0.000
-0.061 5.334 0.000
-0.011 -0.060 6.640
Li Fe Si O
3 2 2 8
Direct
0.000 0.000 0.000
0.009 0.468 0.743
0.504 0.828 0.246
0.007 0.472 0.259
0.503 0.829 0.739
0.005 0.979 0.492
0.516 0.340 0.992
0.328 0.920 0.502
0.402 0.474 0.193
0.402 0.497 0.796
0.409 0.039 0.969
0.844 0.341 0.989
0.880 0.837 0.700
0.894 0.848 0.281
0.944 0.275 0.506
```

The 10 most intense peaks (2θ = 5–70°), low angle first:
d = 4.177 Å, intensity 46, hkl 0 1 -1; d = 4.140 Å, intensity 38, hkl 0 1 1; d = 4.011 Å, intensity 100, hkl 1 0 -1; d = 2.830 Å, intensity 16, hkl 0 1 -2; d = 2.807 Å, intensity 22, hkl 0 1 2; d = 2.667 Å, intensity 29, hkl 0 2 0; d = 2.516 Å, intensity 39, hkl 2 0 0; d = 2.470 Å, intensity 17, hkl 1 -1 2; d = 2.461 Å, intensity 18, hkl 1 1 -2; d = 1.660 Å, intensity 13, hkl 0 0 4

***

[2]
Computed powder diffraction line list
Compound: Li9Mn2Co5O16
Radiation: Cu Kα (λ = 1.5418 Å)
Structure: a crystal structure in the Materials Project, relaxed with PBE+U
Peak positions follow from Bragg's law for the DFT cell and can differ from measured ones.

Structure:
```
Li9Mn2Co5O16
1.0
5.023 0.000 0.000
0.000 5.789 0.000
-1.550 0.000 9.578
Li Mn Co O
9 2 5 16
Direct
0.000 0.000 0.000
0.237 0.244 0.236
0.249 0.752 0.235
0.252 0.001 0.764
0.253 0.495 0.760
0.747 0.495 0.240
0.748 0.001 0.236
0.751 0.752 0.765
0.763 0.244 0.764
0.000 0.753 0.500
0.500 0.496 0.500
0.000 0.251 0.500
0.000 0.491 0.000
0.500 0.251 0.000
0.500 0.761 0.000
0.500 0.996 0.500
0.128 0.003 0.391
0.137 0.267 0.891
0.137 0.495 0.393
0.137 0.727 0.890
0.358 0.490 0.110
0.361 0.257 0.611
0.394 0.010 0.116
0.397 0.731 0.620
0.603 0.731 0.380
0.606 0.010 0.884
0.639 0.257 0.389
0.642 0.490 0.890
0.863 0.267 0.109
0.863 0.495 0.607
0.863 0.727 0.110
0.872 0.003 0.609
```

The 10 most intense peaks (2θ = 5–70°), low angle first:
d = 4.789 Å, intensity 100, hkl 0 0 2; d = 2.479 Å, intensity 14, hkl 2 0 0; d = 2.468 Å, intensity 25, hkl 1 2 -1; d = 2.372 Å, intensity 7, hkl 1 2 1; d = 2.071 Å, intensity 27, hkl 2 0 2; d = 2.050 Å, intensity 52, hkl 1 2 -3; d = 1.895 Å, intensity 8, hkl 1 2 3; d = 1.583 Å, intensity 10, hkl 1 2 -5; d = 1.465 Å, intensity 14, hkl 1 2 5; d = 1.449 Å, intensity 14, hkl 3 2 -1